# 1
Simulated powder diffractogram of AsPdO3 for Cu Kα (weighted mean of Kα1 and Kα2), from a DFT-relaxed cell (GGA-PBE, Alexandria).

The 10 most intense peaks (10 to 90 degrees two-theta), sorted by position:
d (Å)	I_rel
8.019	100
5.445	33
3.928	38
2.849	61
2.723	52
2.673	20
2.347	28
2.322	27
2.175	29
1.585	34

Cell and atoms:
abc: 8.6868 8.6868 5.7894
angles: 109.40 109.40 22.35
Sites, in units of the cell vectors:
As 0.1514 0.1514 0.1512
As 0.8486 0.8486 0.8488
Pd 0.5000 0.5000 0.2456
Pd 0.5000 0.5000 0.7544
O 0.0815 0.0815 0.3255
O 0.0816 0.0816 0.8374
O 0.3019 0.3019 0.8022
O 0.6981 0.6981 0.1978
O 0.9184 0.9184 0.1626
O 0.9185 0.9185 0.6745

---

# 2
Simulated powder diffractogram of NdReAgO6 for Cu Kα (weighted mean of Kα1 and Kα2), from a DFT-relaxed cell (GGA-PBE, Alexandria).

The 10 most intense peaks (10 to 90 degrees two-theta), sorted by position:
d (Å)	I_rel
3.445	100
3.329	91
3.014	71
2.896	64
2.776	51
2.670	49
2.403	40
2.017	32
1.981	26
1.671	27

Cell and atoms:
abc: 4.5007 5.3485 5.6656
angles: 115.19 100.17 91.42
Sites, in units of the cell vectors:
Nd 0.0000 0.0000 0.0000
Re 0.7587 0.6480 0.3229
Ag 0.3251 0.3513 0.6957
O 0.0058 0.3691 0.3895
O 0.0535 0.9379 0.5761
O 0.5194 0.2935 0.0496
O 0.5219 0.8684 0.2213
O 0.5926 0.6654 0.6083
O 0.9785 0.5910 0.0521

---

# 3
Simulated powder diffractogram of Al2Si2H4O9 for Cu Kα (weighted mean of Kα1 and Kα2), from a DFT-relaxed cell (GGA-PBE, Alexandria).

The 10 most intense peaks (10 to 90 degrees two-theta), sorted by position:
d (Å)	I_rel
7.327	100
4.518	100
3.946	77
3.745	35
3.663	64
2.766	17
2.484	55
2.402	31
2.159	28
1.814	21

Cell and atoms:
abc: 5.2189 5.2189 7.3434
angles: 91.93 91.93 120.02
Sites, in units of the cell vectors:
Al 0.1642 0.8358 0.0000
Al 0.8358 0.1642 0.0000
Si 0.4941 0.8361 0.6215
Si 0.8361 0.4941 0.6215
H 0.1436 0.5290 0.2614
H 0.3014 0.3014 0.8535
H 0.5290 0.1436 0.2614
H 0.7163 0.7163 0.1777
O 0.1152 0.1152 0.8576
O 0.1299 0.5135 0.1282
O 0.1562 0.6483 0.5274
O 0.4936 0.8757 0.8420
O 0.5135 0.1299 0.1282
O 0.6483 0.1562 0.5274
O 0.6585 0.6585 0.5542
O 0.8757 0.4936 0.8420
O 0.8863 0.8863 0.1314